Entry 1:
For Tb2Co3Si5, a cell relaxed with PBE gives the simulated PXRD pattern in this record (Cu Kα).
Peak positions follow from Bragg's law for the DFT cell and can differ from measured ones.

Top 6 peaks for 10° ≤ 2θ ≤ 90°, by angle:
2θ = 24.30°, 3.663 Å, intensity 56.2
2θ = 36.08°, 2.489 Å, intensity 100.0
2θ = 36.87°, 2.438 Å, intensity 55.1
2θ = 37.44°, 2.402 Å, intensity 62.4
2θ = 45.79°, 1.982 Å, intensity 55.5
2θ = 52.99°, 1.728 Å, intensity 31.2

Cell and atoms:
```
data_Tb2Co3Si5
_cell_length_a 7.9230
_cell_length_b 7.9230
_cell_length_c 7.9230
_cell_angle_alpha 105.45
_cell_angle_beta 88.80
_cell_angle_gamma 138.98
_space_group_name_H-M_alt 'P 1'
_space_group_IT_number 1
loop_
_space_group_symop_operation_xyz
'x,y,z'
loop_
_atom_site_label
_atom_site_type_symbol
_atom_site_fract_x
_atom_site_fract_y
_atom_site_fract_z
Tb1 Tb 0.1340 0.2336 0.3676
Tb2 Tb 0.3660 0.7336 0.0997
Tb3 Tb 0.6340 0.2664 0.9003
Tb4 Tb 0.8660 0.7664 0.6324
Co1 Co 0.1383 0.8921 0.0304
Co2 Co 0.2500 0.7500 0.5000
Co3 Co 0.3617 0.3921 0.7538
Co4 Co 0.6383 0.6079 0.2462
Co5 Co 0.7500 0.2500 0.5000
Co6 Co 0.8617 0.1079 0.9696
Si1 Si 0.0230 0.7500 0.2730
Si2 Si 0.1007 0.6575 0.7582
Si3 Si 0.2500 0.2500 0.0000
Si4 Si 0.3993 0.1575 0.5568
Si5 Si 0.4770 0.7500 0.7270
Si6 Si 0.5230 0.2500 0.2730
Si7 Si 0.6007 0.8425 0.4432
Si8 Si 0.7500 0.7500 0.0000
Si9 Si 0.8993 0.3425 0.2418
Si10 Si 0.9770 0.2500 0.7270
```

Entry 2:
For Mo2As3P, a cell relaxed with PBE gives the simulated PXRD pattern in this record (Cu Kα).
Peak positions follow from Bragg's law for the DFT cell and can differ from measured ones.

Top 6 peaks for 10° ≤ 2θ ≤ 90°, by angle:
2θ = 34.78°, 2.579 Å, intensity 100.0
2θ = 40.20°, 2.243 Å, intensity 27.7
2θ = 41.90°, 2.156 Å, intensity 29.2
2θ = 43.93°, 2.061 Å, intensity 20.6
2θ = 44.42°, 2.039 Å, intensity 19.7
2θ = 47.10°, 1.929 Å, intensity 22.0

Cell and atoms:
```
data_Mo2As3P
_cell_length_a 4.7910
_cell_length_b 4.7910
_cell_length_c 7.7616
_cell_angle_alpha 117.87
_cell_angle_beta 117.87
_cell_angle_gamma 40.05
_space_group_name_H-M_alt 'P 1'
_space_group_IT_number 1
loop_
_space_group_symop_operation_xyz
'x,y,z'
loop_
_atom_site_label
_atom_site_type_symbol
_atom_site_fract_x
_atom_site_fract_y
_atom_site_fract_z
Mo1 Mo 0.0000 0.0000 0.0000
Mo2 Mo 0.6832 0.6832 0.5820
As1 As 0.2436 0.2436 0.8977
As2 As 0.4365 0.4365 0.6793
As3 As 0.9711 0.9711 0.3146
P1 P 0.6868 0.6868 0.2603
```